No. 1
This entry pairs a crystal structure of Pt7Pb with its computed PXRD pattern. Radiation: copper Kα. Structure: a crystal structure in OQMD, relaxed with GGA-PBE.
No peak broadening, texture or thermal motion is included.

Largest 10 diffraction maxima, low angle first, 10° ≤ 2θ ≤ 90°:
2θ 38.79, I 100
2θ 39.19, I 66
2θ 41.44, I 20
2θ 44.58, I 46
2θ 46.62, I 14
2θ 46.79, I 30
2θ 66.60, I 29
2θ 77.95, I 18
2θ 78.77, I 15
2θ 81.66, I 17

```
Pt7Pb
1.0
2.8976 0.0000 0.0000
0.0000 3.8845 0.0000
0.0000 0.0000 34.2179
Pt Pb
14 2
Direct
0.2500 0.2500 0.0202 Pt
0.2500 0.2500 0.1010 Pt
0.2500 0.2500 0.1827 Pt
0.2500 0.2500 0.2659 Pt
0.2500 0.2500 0.7760 Pt
0.2500 0.2500 0.8580 Pt
0.2500 0.2500 0.9395 Pt
0.7500 0.7500 0.0605 Pt
0.7500 0.7500 0.1420 Pt
0.7500 0.7500 0.2240 Pt
0.7500 0.7500 0.7341 Pt
0.7500 0.7500 0.8173 Pt
0.7500 0.7500 0.8990 Pt
0.7500 0.7500 0.9798 Pt
0.2500 0.2500 0.6846 Pb
0.7500 0.7500 0.3154 Pb
```

No. 2
This entry pairs a crystal structure of Lu2Hf4Tl3N3 with its computed PXRD pattern. Radiation: copper Kα. Structure: a crystal structure in OQMD, relaxed with GGA-PBE.
No peak broadening, texture or thermal motion is included.

Largest 10 diffraction maxima, low angle first, 10° ≤ 2θ ≤ 90°:
2θ 30.81, I 23
2θ 35.98, I 100
2θ 36.73, I 20
2θ 48.67, I 16
2θ 54.79, I 21
2θ 64.19, I 3
2θ 65.66, I 17
2θ 67.31, I 16
2θ 67.79, I 20
2θ 76.30, I 4

```
Lu2Hf4Tl3N3
1.0
5.0263 -2.9018 0.0000
5.0263 2.9018 0.0000
-3.3596 0.0000 14.6824
Lu Hf Tl N
4 8 6 6
Direct
0.0301 0.8673 0.5886 Lu
0.1327 0.9699 0.9114 Lu
0.8673 0.0301 0.0886 Lu
0.9699 0.1327 0.4114 Lu
0.1933 0.3553 0.0788 Hf
0.3026 0.4780 0.4212 Hf
0.3553 0.1933 0.5788 Hf
0.4780 0.3026 0.9212 Hf
0.5220 0.6974 0.0788 Hf
0.6447 0.8067 0.4212 Hf
0.6974 0.5220 0.5788 Hf
0.8067 0.6447 0.9212 Hf
0.0837 0.2688 0.7512 Tl
0.2688 0.0837 0.2512 Tl
0.4347 0.5653 0.7500 Tl
0.5653 0.4347 0.2500 Tl
0.7312 0.9163 0.7488 Tl
0.9163 0.7312 0.2488 Tl
0.0000 0.5000 0.5000 N
0.1698 0.6600 0.0000 N
0.3400 0.8302 0.5000 N
0.5000 0.0000 0.0000 N
0.6600 0.1698 0.5000 N
0.8302 0.3400 0.0000 N
```

No. 3
This entry pairs a crystal structure of K2RbHfF7 with its computed PXRD pattern. Radiation: copper Kα. Structure: a crystal structure in OQMD, relaxed with GGA-PBE.
No peak broadening, texture or thermal motion is included.

Largest 10 diffraction maxima, low angle first, 10° ≤ 2θ ≤ 90°:
2θ 16.34, I 59
2θ 16.85, I 49
2θ 18.00, I 29
2θ 21.73, I 30
2θ 25.76, I 46
2θ 27.46, I 100
2θ 28.77, I 49
2θ 31.05, I 34
2θ 44.01, I 41
2θ 47.86, I 37

```
K2RbHfF7
1.0
4.1164 -4.0553 0.0000
4.1164 4.0553 0.0000
-3.5033 0.0000 5.4240
K Rb Hf F
2 1 1 7
Direct
0.2407 0.7593 0.0000 K
0.7593 0.2407 0.0000 K
0.5067 0.5067 0.4641 Rb
0.0535 0.0535 0.5353 Hf
0.0221 0.6910 0.2790 F
0.1357 0.1357 0.2893 F
0.3519 0.9148 0.7253 F
0.3542 0.3542 0.7559 F
0.6910 0.0221 0.2790 F
0.8857 0.8857 0.6790 F
0.9148 0.3519 0.7253 F
```